# 1
For Li5Mn3Sn2O10, a crystal structure in the Materials Project, relaxed with PBE+U gives the computed X-ray diffraction stick pattern in this record (Cu Kα (weighted mean of Kα1 and Kα2)).
Kinematic intensities with the Lorentz-polarization factor, no thermal factor.

```
data_Li5Mn3Sn2O10
_cell_length_a 5.338
_cell_length_b 5.372
_cell_length_c 8.129
_cell_angle_alpha 107.21
_cell_angle_beta 101.20
_cell_angle_gamma 101.56
_space_group_name_H-M_alt 'P -1'
_space_group_IT_number 2
_space_group_name_Hall '-P 1'
loop_
_atom_site_label
_atom_site_fract_x
_atom_site_fract_y
_atom_site_fract_z
_atom_site_occupancy
Li1 0.000 0.000 0.000 1
Li2 0.105 0.217 0.721 1
Li3 0.271 0.593 0.099 1
Mn1 0.192 0.391 0.397 1
Mn2 0.500 0.000 0.500 1
Sn1 0.399 0.795 0.806 1
O1 0.053 0.605 0.844 1
O2 0.179 0.813 0.560 1
O3 0.281 0.004 0.272 1
O4 0.354 0.176 0.953 1
O5 0.444 0.422 0.658 1
```

Peak list (10 most intense, 2θ = 10–80°, sorted by position)
two_theta, I/Imax, (hkl)
17.62, 55, 1 0 0
17.76, 100, 0 1 -1
21.47, 36, 1 -1 0
24.85, 27, 0 1 1
33.51, 21, 1 0 2
35.25, 34, 2 -1 0
35.99, 24, 0 2 -2
40.42, 53, -1 2 1
40.96, 51, 1 -1 3
42.35, 51, 2 1 -2

---

# 2
For La2MgFe2Te2O12, a crystal structure in the Materials Project, relaxed with PBE+U gives the computed X-ray diffraction stick pattern in this record (Cu Kα (weighted mean of Kα1 and Kα2)).
Kinematic intensities with the Lorentz-polarization factor, no thermal factor.

```
data_La2MgFe2Te2O12
_cell_length_a 5.581
_cell_length_b 5.681
_cell_length_c 7.973
_cell_angle_alpha 89.84
_cell_angle_beta 89.54
_cell_angle_gamma 85.66
_space_group_name_H-M_alt 'P 1'
_space_group_IT_number 1
_space_group_name_Hall 'P 1'
loop_
_atom_site_label
_atom_site_fract_x
_atom_site_fract_y
_atom_site_fract_z
_atom_site_occupancy
La1 0.000 0.000 0.000 1
La2 0.481 0.615 0.493 1
Mg1 0.496 0.516 0.975 1
Fe1 0.497 0.078 0.258 1
Fe2 0.976 0.543 0.737 1
Te1 0.495 0.073 0.753 1
Te2 0.977 0.535 0.245 1
O1 0.074 0.546 0.478 1
O2 0.169 0.244 0.204 1
O3 0.204 0.271 0.811 1
O4 0.263 0.701 0.175 1
O5 0.325 0.786 0.815 1
O6 0.418 0.037 0.521 1
O7 0.573 0.128 0.992 1
O8 0.645 0.371 0.720 1
O9 0.696 0.369 0.297 1
O10 0.779 0.830 0.280 1
O11 0.789 0.873 0.731 1
O12 0.865 0.559 0.009 1
```

Peak list (10 most intense, 2θ = 10–80°, sorted by position)
two_theta, I/Imax, (hkl)
19.22, 100, 0 1 -1
19.38, 56, 1 0 1
19.52, 52, 1 0 -1
31.07, 74, 1 1 2
31.31, 71, 1 1 -2
31.59, 59, 0 2 0
32.17, 65, 2 0 0
32.37, 57, 1 -1 2
32.49, 58, -1 1 2
45.51, 43, 0 0 4

---

# 3
For ZnCoAs2O7, a crystal structure in the Materials Project, relaxed with PBE+U gives the computed X-ray diffraction stick pattern in this record (Cu Kα (weighted mean of Kα1 and Kα2)).
Kinematic intensities with the Lorentz-polarization factor, no thermal factor.

```
data_ZnCoAs2O7
_cell_length_a 7.351
_cell_length_b 8.757
_cell_length_c 9.664
_cell_angle_alpha 90.00
_cell_angle_beta 114.09
_cell_angle_gamma 90.00
_space_group_name_H-M_alt 'P 1 21/c 1'
_space_group_IT_number 14
_space_group_name_Hall '-P 2ybc'
loop_
_atom_site_label
_atom_site_fract_x
_atom_site_fract_y
_atom_site_fract_z
_atom_site_occupancy
Zn1 0.219 0.080 0.111 1
Co1 0.317 0.060 0.688 1
As1 0.069 0.731 0.744 1
As2 0.489 0.721 0.042 1
O1 0.037 0.599 0.605 1
O2 0.135 0.594 0.211 1
O3 0.136 0.237 0.713 1
O4 0.251 0.652 0.916 1
O5 0.356 0.226 0.553 1
O6 0.460 0.604 0.609 1
O7 0.461 0.078 0.327 1
```

Peak list (10 most intense, 2θ = 10–80°, sorted by position)
two_theta, I/Imax, (hkl)
20.28, 8, 0 2 0
27.95, 100, 1 2 -2
28.39, 40, 1 0 2
33.48, 9, 1 3 0
33.65, 18, 2 2 0
35.14, 8, 1 2 2
38.80, 7, 1 1 -4
46.07, 10, 0 2 4
54.88, 15, 3 3 -4
59.47, 11, 4 3 -2

---

# 4
For VBO4, a crystal structure in the Materials Project, relaxed with PBE+U gives the computed X-ray diffraction stick pattern in this record (Cu Kα (weighted mean of Kα1 and Kα2)).
Kinematic intensities with the Lorentz-polarization factor, no thermal factor.

```
data_VBO4
_cell_length_a 5.036
_cell_length_b 5.047
_cell_length_c 11.397
_cell_angle_alpha 90.00
_cell_angle_beta 109.91
_cell_angle_gamma 90.00
_space_group_name_H-M_alt 'P 1 21/c 1'
_space_group_IT_number 14
_space_group_name_Hall '-P 2ybc'
loop_
_atom_site_label
_atom_site_fract_x
_atom_site_fract_y
_atom_site_fract_z
_atom_site_occupancy
V1 0.187 0.242 0.073 1
B1 0.227 0.029 0.328 1
O1 0.099 0.054 0.420 1
O2 0.111 0.154 0.217 1
O3 0.258 0.550 0.526 1
O4 0.478 0.608 0.855 1
```

Peak list (10 most intense, 2θ = 10–80°, sorted by position)
two_theta, I/Imax, (hkl)
16.54, 49, 0 0 2
18.74, 36, 1 0 0
20.37, 45, 1 0 -2
24.23, 96, 0 1 2
25.80, 100, 1 1 0
29.08, 21, 1 1 1
32.31, 32, 1 0 -4
41.34, 22, 1 2 -2
42.16, 28, 2 1 0
51.43, 28, 1 1 -6